1.
# Ac4Tc3N10
Theoretical XRD peak list, λ = 1.5418 Å (Cu Kα). Input: a crystal structure in Alexandria, relaxed with PBE.
No peak broadening, texture or thermal motion is included.

Largest 6 diffraction maxima, most intense first, 10 to 90 degrees two-theta:
| 2θ/deg | d [Å] | I (rel.) |
| --- | --- | --- |
| 30.92 | 2.892 | 100 |
| 31.53 | 2.838 | 58 |
| 55.76 | 1.649 | 40 |
| 45.19 | 2.006 | 28 |
| 40.26 | 2.240 | 16 |
| 22.36 | 3.976 | 14 |

```
data_Ac4Tc3N10
_chemical_formula_sum 'Ac8 Tc6 N20'
_symmetry_space_group_name_H-M 'I 4/m m m'
_symmetry_Int_Tables_number 139
_symmetry_space_group_name_Hall '-I 4 2'
_cell_length_a 4.013
_cell_length_b 4.013
_cell_length_c 29.202
_cell_angle_alpha 90.00
_cell_angle_beta 90.00
_cell_angle_gamma 90.00
loop_
_atom_site_label
_atom_site_type_symbol
_atom_site_fract_x
_atom_site_fract_y
_atom_site_fract_z
Ac1 Ac 0.000 0.000 0.067
Ac2 Ac 0.000 0.000 0.201
Tc1 Tc 0.000 0.000 0.363
Tc2 Tc 0.000 0.000 0.500
N1 N 0.000 0.000 0.291
N2 N 0.000 0.000 0.431
N3 N 0.000 0.500 0.000
N4 N 0.000 0.500 0.138
```

2.
# Ac2TcN4
Theoretical XRD peak list, λ = 1.5418 Å (Cu Kα). Input: a crystal structure in Alexandria, relaxed with PBE.
No peak broadening, texture or thermal motion is included.

Largest 6 diffraction maxima, most intense first, 10 to 90 degrees two-theta:
| 2θ/deg | d [Å] | I (rel.) |
| --- | --- | --- |
| 21.43 | 4.146 | 100 |
| 29.35 | 3.043 | 76 |
| 30.28 | 2.952 | 67 |
| 37.55 | 2.395 | 46 |
| 29.86 | 2.993 | 44 |
| 30.70 | 2.912 | 43 |

```
data_Ac2TcN4
_chemical_formula_sum 'Ac4 Tc2 N8'
_symmetry_space_group_name_H-M 'P 1 21/m 1'
_symmetry_Int_Tables_number 11
_symmetry_space_group_name_Hall '-P 2yb'
_cell_length_a 6.182
_cell_length_b 5.903
_cell_length_c 7.369
_cell_angle_alpha 90.00
_cell_angle_beta 109.57
_cell_angle_gamma 90.00
loop_
_atom_site_label
_atom_site_type_symbol
_atom_site_fract_x
_atom_site_fract_y
_atom_site_fract_z
Ac1 Ac 0.202 0.250 0.039
Ac2 Ac 0.285 0.250 0.568
Tc1 Tc 0.250 0.750 0.800
N1 N 0.049 0.506 0.743
N2 N 0.410 0.750 0.062
N3 N 0.439 0.750 0.648
```

Q: Which formula does entry 2 have?
A: Ac2TcN4